No. 1
For Ho3Ga5, a structure optimized by DFT (GGA-PBE) gives the theoretical X-ray diffraction stick pattern in this record (Cu Kα, 1.54184 Å).

Unit cell a=11.382 b=9.654 c=6.084 alpha=90.00 beta=90.00 gamma=90.00
Space group Pnma (No. 62)
Asymmetric unit:
Ho1 0.074 0.250 0.151 x4
Ho2 0.148 0.509 0.610 x8
Ga1 0.005 0.250 0.629 x4
Ga2 0.091 0.553 0.125 x8
Ga3 0.201 0.750 0.897 x4
Ga4 0.248 0.750 0.324 x4

Peak list (8 most intense, 2θ = 10–80°, sorted by position)
two_theta	intensity	(hkl)
28.34	54	2 2 1
33.46	78	3 2 1
34.81	55	4 0 1
35.77	100	1 2 2
36.66	75	4 2 0
37.25	87	0 4 0
37.91	82	3 0 2
41.62	65	1 3 2

***

No. 2
For Nd3Th, a structure optimized by DFT (GGA-PBE) gives the theoretical X-ray diffraction stick pattern in this record (Cu Kα, 1.54184 Å).

Unit cell a=5.154 b=5.154 c=10.372 alpha=90.00 beta=90.00 gamma=90.00
Space group I4/mmm (No. 139)
Asymmetric unit:
Nd1 0.000 0.000 0.000 x2
Nd2 0.000 0.500 0.250 x4
Th1 0.000 0.000 0.500 x2

Peak list (8 most intense, 2θ = 10–80°, sorted by position)
two_theta	intensity	(hkl)
29.97	100	1 1 2
34.59	17	0 0 4
34.81	34	2 0 0
49.89	25	2 0 4
50.06	12	2 2 0
59.15	15	1 1 6
59.45	29	3 1 2
62.27	13	2 2 4

***

No. 3
For K2LiScCl6, a structure optimized by DFT (GGA-PBE) gives the theoretical X-ray diffraction stick pattern in this record (Cu Kα, 1.54184 Å).

Unit cell a=10.126 b=10.126 c=10.126 alpha=90.00 beta=90.00 gamma=90.00
Space group Fm-3m (No. 225)
Asymmetric unit:
K1 0.250 0.250 0.250 x8
Li1 0.000 0.000 0.000 x4
Sc1 0.000 0.000 0.500 x4
Cl1 0.000 0.000 0.254 x24

Peak list (8 most intense, 2θ = 10–80°, sorted by position)
two_theta	intensity	(hkl)
15.15	19	1 1 1
17.52	10	2 0 0
24.87	15	2 2 0
30.58	100	2 2 2
35.46	94	4 0 0
51.02	58	4 4 0
60.66	32	6 2 2
63.67	18	4 4 4

***

No. 4
For TaAl3, a structure optimized by DFT (GGA-PBE) gives the theoretical X-ray diffraction stick pattern in this record (Cu Kα, 1.54184 Å).

Unit cell a=3.859 b=3.859 c=8.571 alpha=90.00 beta=90.00 gamma=90.00
Space group I4/mmm (No. 139)
Asymmetric unit:
Ta1 0.000 0.000 0.000 x2
Al1 0.000 0.000 0.500 x2
Al2 0.000 0.500 0.250 x4

Peak list (8 most intense, 2θ = 10–80°, sorted by position)
two_theta	intensity	(hkl)
20.73	31	0 0 2
25.31	78	1 0 1
32.82	20	1 1 0
39.16	100	1 1 2
42.17	15	0 0 4
47.10	22	2 0 0
54.21	20	2 1 1
65.05	17	2 0 4

***

No. 5
For LiCuP2O6, a structure optimized by DFT (GGA-PBE) gives the theoretical X-ray diffraction stick pattern in this record (Cu Kα, 1.54184 Å).

Unit cell a=5.074 b=9.402 c=5.648 alpha=90.00 beta=90.00 gamma=90.00
Space group C222 (No. 21)
Asymmetric unit:
Li1 0.000 0.000 0.000 x2
Cu1 0.000 0.500 0.000 x2
P1 0.250 0.250 0.330 x4
O1 0.000 0.264 0.500 x4
O2 0.227 0.112 0.195 x8

Peak list (8 most intense, 2θ = 10–80°, sorted by position)
two_theta	intensity	(hkl)
19.89	24	1 1 0
24.64	85	0 2 1
25.43	100	1 1 1
37.29	15	1 3 1
37.69	16	1 1 2
46.86	13	1 3 2
48.22	21	2 0 2
64.78	16	2 2 3

***

No. 6
For LuGaAu, a structure optimized by DFT (GGA-PBE) gives the theoretical X-ray diffraction stick pattern in this record (Cu Kα, 1.54184 Å).

Unit cell a=10.342 b=4.482 c=6.955 alpha=90.00 beta=131.43 gamma=90.00
Space group C2/m (No. 12)
Asymmetric unit:
Lu1 0.037 0.000 0.295 x4
Ga1 0.159 0.500 0.111 x4
Au1 0.177 0.500 0.718 x4

Peak list (8 most intense, 2θ = 10–80°, sorted by position)
two_theta	intensity	(hkl)
23.61	19	1 1 -1
33.02	36	1 1 1
34.40	30	0 0 2
34.51	29	1 1 -2
34.77	64	3 1 -2
34.91	18	4 0 -2
40.26	100	0 2 0
53.95	17	0 2 2

***

No. 7
For B12S, a structure optimized by DFT (GGA-PBE) gives the theoretical X-ray diffraction stick pattern in this record (Cu Kα, 1.54184 Å).

Unit cell a=5.7966 b=5.7966 c=11.6805 alpha=90.00 beta=90.00 gamma=120.00
Space group R-3m (No. 166, hexagonal axes)
Asymmetric unit:
B1 0.0146 0.5073 0.1957 x18
B2 0.1065 0.2131 0.3836 x18
S1 0.0000 0.0000 0.0000 x3

Peak list (8 most intense, 2θ = 10–80°, sorted by position)
two_theta	intensity	(hkl)
23.37	100	0 1 2
36.62	58	0 2 1
38.73	44	1 1 3
42.69	11	0 1 5
53.59	22	2 0 5
57.97	10	2 1 4
69.39	14	3 1 2
75.94	12	2 1 7

***

> What is the formula in the second record?

Nd3Th

***

> What is the formula in the fourth record?

TaAl3